# Mg2CdOs
Simulated powder X-ray diffraction pattern, Cu Kα (weighted mean of Kα1 and Kα2). Input: DFT lattice parameters and positions (GGA-PBE).
Kinematic intensities with the Lorentz-polarization factor, no thermal factor.

Largest 6 diffraction maxima, in order of falling intensity, 10 to 80 degrees two-theta:
(0 1 0), 2θ = 21.1°, d = 4.204 Å, I = 100; (0 1 2), 2θ = 37.0°, d = 2.427 Å, I = 96; (1 1 0), 2θ = 38.3°, d = 2.350 Å, I = 89; (0 0 2), 2θ = 30.1°, d = 2.973 Å, I = 43; (1 0 0), 2θ = 31.6°, d = 2.834 Å, I = 37; (0 2 0), 2θ = 43.0°, d = 2.102 Å, I = 32

Lattice parameters (Å, degrees): 2.834 4.204 5.947 90.00 90.27 90.00
Space group P2/m (No. 10)
Symmetry-distinct sites (fractional):
Mg: 0.002 0.000 0.275 (multiplicity 2)
Cd: 0.500 0.500 0.000 (multiplicity 1)
Os: 0.500 0.500 0.500 (multiplicity 1)



# Mg2CdOs2
Simulated powder X-ray diffraction pattern, Cu Kα (weighted mean of Kα1 and Kα2). Input: DFT lattice parameters and positions (GGA-PBE).
Kinematic intensities with the Lorentz-polarization factor, no thermal factor.

Largest 6 diffraction maxima, in order of falling intensity, 10 to 80 degrees two-theta:
(0 0 1), 2θ = 21.6°, d = 4.114 Å, I = 100; (2 1 1), 2θ = 36.9°, d = 2.437 Å, I = 97; (2 1 0), 2θ = 29.5°, d = 3.024 Å, I = 47; (3 1 0), 2θ = 42.3°, d = 2.139 Å, I = 38; (3 1 1), 2θ = 47.9°, d = 1.897 Å, I = 38; (3 2 1), 2θ = 53.7°, d = 1.707 Å, I = 28

Lattice parameters (Å, degrees): 6.763 6.763 4.114 90.00 90.00 90.00
Space group P4/mbm (No. 127)
Symmetry-distinct sites (fractional):
Mg: 0.167 0.333 0.000 (multiplicity 4)
Cd: 0.000 0.000 0.500 (multiplicity 2)
Os: 0.123 0.623 0.500 (multiplicity 4)



# Mg2CdOs
Simulated powder X-ray diffraction pattern, Cu Kα (weighted mean of Kα1 and Kα2). Input: DFT lattice parameters and positions (GGA-PBE).
Kinematic intensities with the Lorentz-polarization factor, no thermal factor.

Largest 6 diffraction maxima, in order of falling intensity, 10 to 80 degrees two-theta:
(0 2 1), 2θ = 37.7°, d = 2.389 Å, I = 100; (2 2 0), 2θ = 37.9°, d = 2.372 Å, I = 98; (0 2 0), 2θ = 22.4°, d = 3.962 Å, I = 94; (2 0 1), 2θ = 43.0°, d = 2.105 Å, I = 69; (2 2 1), 2θ = 49.0°, d = 1.859 Å, I = 47; (0 0 1), 2θ = 29.8°, d = 2.994 Å, I = 46

Lattice parameters (Å, degrees): 5.921 7.924 2.994 90.00 90.00 90.00
Space group Cmmm (No. 65)
Symmetry-distinct sites (fractional):
Mg: 0.250 0.250 0.000 (multiplicity 4)
Cd: 0.000 0.000 0.500 (multiplicity 2)
Os: 0.000 0.500 0.500 (multiplicity 2)



# MgCdTe2P
Simulated powder X-ray diffraction pattern, Cu Kα (weighted mean of Kα1 and Kα2). Input: DFT lattice parameters and positions (GGA-PBE).
Kinematic intensities with the Lorentz-polarization factor, no thermal factor.

Largest 6 diffraction maxima, in order of falling intensity, 10 to 80 degrees two-theta:
(1 1 1), 2θ = 29.5°, d = 3.024 Å, I = 100; (2 0 0), 2θ = 32.1°, d = 2.790 Å, I = 52; (3 1 1), 2θ = 55.6°, d = 1.652 Å, I = 32; (2 0 2), 2θ = 50.8°, d = 1.799 Å, I = 28; (2 2 0), 2θ = 46.0°, d = 1.973 Å, I = 19; (2 2 2), 2θ = 61.3°, d = 1.512 Å, I = 17

Lattice parameters (Å, degrees): 5.580 5.580 4.707 90.00 90.00 90.00
Space group P4/mmm (No. 123)
Symmetry-distinct sites (fractional):
Mg: 0.000 0.000 0.000 (multiplicity 1)
Cd: 0.500 0.500 0.500 (multiplicity 1)
Te: 0.000 0.500 0.000 (multiplicity 2)
P: 0.000 0.000 0.500 (multiplicity 1)



# Mg5CdPb3
Simulated powder X-ray diffraction pattern, Cu Kα (weighted mean of Kα1 and Kα2). Input: DFT lattice parameters and positions (GGA-PBE).
Kinematic intensities with the Lorentz-polarization factor, no thermal factor.

Largest 6 diffraction maxima, in order of falling intensity, 10 to 80 degrees two-theta:
(1 1 1), 2θ = 24.2°, d = 3.679 Å, I = 100; (3 0 0), 2θ = 34.0°, d = 2.637 Å, I = 56; (1 1 2), 2θ = 35.0°, d = 2.566 Å, I = 55; (2 1 1), 2θ = 33.3°, d = 2.694 Å, I = 38; (2 0 0), 2θ = 22.5°, d = 3.956 Å, I = 35; (3 1 1), 2θ = 43.8°, d = 2.069 Å, I = 33

Lattice parameters (Å, degrees): 9.1363 9.1363 6.2047 90.00 90.00 120.00
Space group P6_3/mcm (No. 193)
Symmetry-distinct sites (fractional):
Mg: 0.0000 0.2845 0.2500 (multiplicity 6)
Mg: 0.3333 0.6667 0.0000 (multiplicity 4)
Cd: 0.0000 0.0000 0.0000 (multiplicity 2)
Pb: 0.0000 0.3836 0.7500 (multiplicity 6)



# Mg2Cd2Pb3
Simulated powder X-ray diffraction pattern, Cu Kα (weighted mean of Kα1 and Kα2). Input: DFT lattice parameters and positions (GGA-PBE).
Kinematic intensities with the Lorentz-polarization factor, no thermal factor.

Largest 6 diffraction maxima, in order of falling intensity, 10 to 80 degrees two-theta:
(3 0 1), 2θ = 31.0°, d = 2.886 Å, I = 100; (3 1 2), 2θ = 36.9°, d = 2.439 Å, I = 72; (2 1 1), 2θ = 23.9°, d = 3.725 Å, I = 60; (2 2 2), 2θ = 34.0°, d = 2.634 Å, I = 35; (5 3 2), 2θ = 62.8°, d = 1.480 Å, I = 34; (4 3 1), 2θ = 51.0°, d = 1.790 Å, I = 32

Lattice parameters (Å, degrees): 9.125 9.125 9.125 90.00 90.00 90.00
Space group I2_13 (No. 199)
Symmetry-distinct sites (fractional):
Mg: 0.048 0.048 0.048 (multiplicity 8)
Cd: 0.150 0.350 0.650 (multiplicity 8)
Pb: 0.000 0.250 0.318 (multiplicity 12)



# Mg5CdPb2
Simulated powder X-ray diffraction pattern, Cu Kα (weighted mean of Kα1 and Kα2). Input: DFT lattice parameters and positions (GGA-PBE).
Kinematic intensities with the Lorentz-polarization factor, no thermal factor.

Largest 6 diffraction maxima, in order of falling intensity, 10 to 80 degrees two-theta:
(1 1 1), 2θ = 25.7°, d = 3.468 Å, I = 100; (3 1 1), 2θ = 46.0°, d = 1.972 Å, I = 40; (2 0 1), 2θ = 31.8°, d = 2.810 Å, I = 40; (2 0 0), 2θ = 26.3°, d = 3.391 Å, I = 39; (2 2 0), 2θ = 37.5°, d = 2.397 Å, I = 30; (1 1 0), 2θ = 18.5°, d = 4.795 Å, I = 28

Lattice parameters (Å, degrees): 6.781 6.781 5.023 90.00 90.00 90.00
Space group P4/mmm (No. 123)
Symmetry-distinct sites (fractional):
Mg: 0.000 0.000 0.000 (multiplicity 1)
Mg: 0.283 0.283 0.500 (multiplicity 4)
Cd: 0.000 0.000 0.500 (multiplicity 1)
Pb: 0.000 0.500 0.000 (multiplicity 2)



# Mg8Cd2Pb
Simulated powder X-ray diffraction pattern, Cu Kα (weighted mean of Kα1 and Kα2). Input: DFT lattice parameters and positions (GGA-PBE).
Kinematic intensities with the Lorentz-polarization factor, no thermal factor.

Largest 6 diffraction maxima, in order of falling intensity, 10 to 80 degrees two-theta:
(0 1 -1), 2θ = 22.2°, d = 4.005 Å, I = 100; (1 1 1), 2θ = 21.9°, d = 4.062 Å, I = 89; (1 2 0), 2θ = 35.7°, d = 2.514 Å, I = 70; (1 -2 1), 2θ = 36.1°, d = 2.489 Å, I = 41; (2 0 1), 2θ = 36.9°, d = 2.438 Å, I = 40; (1 0 -1), 2θ = 25.8°, d = 3.447 Å, I = 35

Lattice parameters (Å, degrees): 4.876 7.348 8.369 64.03 74.09 89.99
Space group P1 (No. 1)
Symmetry-distinct sites (fractional):
Mg: 0.000 0.000 0.000 (multiplicity 1)
Mg: 0.038 0.496 0.915 (multiplicity 1)
Mg: 0.204 0.356 0.590 (multiplicity 1)
Mg: 0.370 0.820 0.268 (multiplicity 1)
Mg: 0.408 0.405 0.183 (multiplicity 1)
Mg: 0.575 0.856 0.857 (multiplicity 1)
Mg: 0.704 0.650 0.591 (multiplicity 1)
Mg: 0.831 0.121 0.329 (multiplicity 1)
Cd: 0.546 0.243 0.904 (multiplicity 1)
Cd: 0.863 0.559 0.275 (multiplicity 1)
Pb: 0.203 0.937 0.592 (multiplicity 1)



# Mg6Cd2Pb
Simulated powder X-ray diffraction pattern, Cu Kα (weighted mean of Kα1 and Kα2). Input: DFT lattice parameters and positions (GGA-PBE).
Kinematic intensities with the Lorentz-polarization factor, no thermal factor.

Largest 6 diffraction maxima, in order of falling intensity, 10 to 80 degrees two-theta:
(1 3 0), 2θ = 24.8°, d = 3.584 Å, I = 100; (1 3 -2), 2θ = 37.1°, d = 2.424 Å, I = 97; (1 1 -1), 2θ = 19.9°, d = 4.465 Å, I = 96; (0 2 1), 2θ = 21.6°, d = 4.115 Å, I = 77; (1 1 1), 2θ = 32.9°, d = 2.725 Å, I = 70; (0 6 0), 2θ = 32.7°, d = 2.737 Å, I = 68

Lattice parameters (Å, degrees): 5.392 16.419 5.408 90.00 118.44 90.00
Space group C2/m (No. 12)
Symmetry-distinct sites (fractional):
Mg: 0.167 0.172 0.325 (multiplicity 8)
Mg: 0.168 0.500 0.837 (multiplicity 4)
Cd: 0.000 0.336 0.000 (multiplicity 4)
Pb: 0.000 0.000 0.500 (multiplicity 2)



# Mg4Cd2Pb5
Simulated powder X-ray diffraction pattern, Cu Kα (weighted mean of Kα1 and Kα2). Input: DFT lattice parameters and positions (GGA-PBE).
Kinematic intensities with the Lorentz-polarization factor, no thermal factor.

Largest 6 diffraction maxima, in order of falling intensity, 10 to 80 degrees two-theta:
(3 1 0), 2θ = 24.6°, d = 3.626 Å, I = 100; (3 1 -2), 2θ = 33.9°, d = 2.641 Å, I = 90; (5 1 1), 2θ = 34.6°, d = 2.593 Å, I = 66; (0 0 2), 2θ = 25.4°, d = 3.506 Å, I = 58; (8 0 -1), 2θ = 36.4°, d = 2.469 Å, I = 41; (5 1 -1), 2θ = 31.7°, d = 2.825 Å, I = 39

Lattice parameters (Å, degrees): 20.118 4.335 7.107 90.00 99.38 90.00
Space group C2/m (No. 12)
Symmetry-distinct sites (fractional):
Mg: 0.029 0.000 0.308 (multiplicity 4)
Mg: 0.220 0.500 0.827 (multiplicity 4)
Cd: 0.074 0.500 0.611 (multiplicity 4)
Pb: 0.000 0.500 0.000 (multiplicity 2)
Pb: 0.130 0.000 0.994 (multiplicity 4)
Pb: 0.180 0.000 0.492 (multiplicity 4)



# Mg3Cd3Pb
Simulated powder X-ray diffraction pattern, Cu Kα (weighted mean of Kα1 and Kα2). Input: DFT lattice parameters and positions (GGA-PBE).
Kinematic intensities with the Lorentz-polarization factor, no thermal factor.

Largest 6 diffraction maxima, in order of falling intensity, 10 to 80 degrees two-theta:
(1 0 4), 2θ = 20.7°, d = 4.298 Å, I = 100; (2 -1 3), 2θ = 26.4°, d = 3.378 Å, I = 78; (2 1 1), 2θ = 36.6°, d = 2.453 Å, I = 73; (0 1 8), 2θ = 34.3°, d = 2.616 Å, I = 41; (1 1 6), 2θ = 33.5°, d = 2.678 Å, I = 36; (2 0 5), 2θ = 33.8°, d = 2.656 Å, I = 34

Lattice parameters (Å, degrees): 7.5371 7.5371 22.8437 90.00 90.00 120.00
Space group R-3 (No. 148, hexagonal axes)
Symmetry-distinct sites (fractional):
Mg: 0.0170 0.2496 0.2666 (multiplicity 18)
Cd: 0.0462 0.2677 0.1314 (multiplicity 18)
Pb: 0.0000 0.0000 0.3723 (multiplicity 6)



# Mg7CdPb3
Simulated powder X-ray diffraction pattern, Cu Kα (weighted mean of Kα1 and Kα2). Input: DFT lattice parameters and positions (GGA-PBE).
Kinematic intensities with the Lorentz-polarization factor, no thermal factor.

Largest 6 diffraction maxima, in order of falling intensity, 10 to 80 degrees two-theta:
(2 2 -1), 2θ = 24.4°, d = 3.652 Å, I = 100; (2 0 0), 2θ = 19.4°, d = 4.584 Å, I = 49; (2 2 1), 2θ = 37.0°, d = 2.428 Å, I = 42; (4 2 -1), 2θ = 37.2°, d = 2.419 Å, I = 32; (2 0 -2), 2θ = 31.4°, d = 2.848 Å, I = 29; (0 4 0), 2θ = 32.2°, d = 2.784 Å, I = 25

Lattice parameters (Å, degrees): 10.761 11.135 5.696 90.00 121.59 90.00
Space group C2/m (No. 12)
Symmetry-distinct sites (fractional):
Mg: 0.000 0.000 0.000 (multiplicity 2)
Mg: 0.167 0.259 0.667 (multiplicity 8)
Mg: 0.185 0.500 0.182 (multiplicity 4)
Cd: 0.000 0.000 0.500 (multiplicity 2)
Pb: 0.000 0.267 0.000 (multiplicity 4)
Pb: 0.000 0.500 0.500 (multiplicity 2)